Record 1
Starting from a crystal structure in the Materials Project, relaxed with GGA+U, the X-ray diffraction stick pattern of Li3VFe2O6 was calculated for Cu Kα (λ = 1.5418 Å).
Kinematic intensities with the Lorentz-polarization factor, no thermal factor.

Cell and atoms:
```
data_Li3VFe2O6
_chemical_formula_sum 'Li6 V2 Fe4 O12'
_space_group_name_H-M_alt 'C 1 2/m 1'
_space_group_IT_number 12
_space_group_name_Hall '-C 2y'
_cell_length_a 12.9769
_cell_length_b 3.0019
_cell_length_c 6.0221
_cell_angle_alpha 90.00
_cell_angle_beta 103.82
_cell_angle_gamma 90.00
loop_
_atom_site_label
_atom_site_type_symbol
_atom_site_fract_x
_atom_site_fract_y
_atom_site_fract_z
Li1 Li 0.0000 0.0000 0.0000
Li2 Li 0.1651 0.5000 0.3285
V1 V 0.0000 0.0000 0.5000
Fe1 Fe 0.1690 0.5000 0.8450
O1 O 0.9996 0.5000 0.2755
O2 O 0.1524 0.0000 0.5844
O3 O 0.1674 0.0000 0.0765
```

Peak list (10 most intense, 2θ from 10° to 90°, sorted by position)
(2 0 -1), 18.1 deg, 4.911 Å, I = 100.0; (1 1 1), 35.1 deg, 2.557 Å, I = 28.6; (4 0 1), 35.4 deg, 2.532 Å, I = 13.5; (3 1 0), 36.8 deg, 2.441 Å, I = 12.4; (1 1 -2), 42.5 deg, 2.126 Å, I = 55.7; (6 0 0), 43.1 deg, 2.100 Å, I = 26.3; (5 1 -1), 46.8 deg, 1.942 Å, I = 9.5; (3 1 -3), 56.1 deg, 1.638 Å, I = 11.3; (7 1 -2), 62.0 deg, 1.498 Å, I = 14.7; (5 1 2), 62.3 deg, 1.490 Å, I = 14.4


Record 2
Starting from a crystal structure in the Materials Project, relaxed with GGA+U, the X-ray diffraction stick pattern of Li2V3FeO8 was calculated for Cu Kα (λ = 1.5418 Å).
Kinematic intensities with the Lorentz-polarization factor, no thermal factor.

Cell and atoms:
```
data_Li2V3FeO8
_chemical_formula_sum 'Li6 V9 Fe3 O24'
_space_group_name_H-M_alt 'R -3 m'
_space_group_IT_number 166
_space_group_name_Hall '-R 3 2"'
_cell_length_a 5.9373
_cell_length_b 5.9373
_cell_length_c 14.3035
_cell_angle_alpha 90.00
_cell_angle_beta 90.00
_cell_angle_gamma 120.00
loop_
_atom_site_label
_atom_site_type_symbol
_atom_site_fract_x
_atom_site_fract_y
_atom_site_fract_z
Li1 Li 0.0000 0.0000 0.1253
V1 V 0.0000 0.5000 0.0000
Fe1 Fe 0.0000 0.0000 0.5000
O1 O 0.0000 0.0000 0.2607
O2 O 0.0318 0.5159 0.2561
```

Peak list (10 most intense, 2θ from 10° to 90°, sorted by position)
(1 0 1), 18.3 deg, 4.839 Å, I = 100.0; (0 0 3), 18.6 deg, 4.768 Å, I = 26.0; (0 2 1), 35.5 deg, 2.530 Å, I = 11.1; (1 1 3), 35.6 deg, 2.520 Å, I = 33.1; (0 1 5), 35.9 deg, 2.500 Å, I = 14.7; (0 2 4), 43.3 deg, 2.087 Å, I = 73.0; (1 2 5), 57.3 deg, 1.608 Å, I = 11.8; (2 2 0), 62.6 deg, 1.484 Å, I = 22.3; (2 0 8), 63.4 deg, 1.468 Å, I = 21.2; (4 0 4), 79.2 deg, 1.210 Å, I = 8.4


Record 3
Starting from a crystal structure in the Materials Project, relaxed with GGA+U, the X-ray diffraction stick pattern of Li2VFeO4 was calculated for Cu Kα (λ = 1.5418 Å).
Kinematic intensities with the Lorentz-polarization factor, no thermal factor.

Cell and atoms:
```
data_Li2VFeO4
_chemical_formula_sum 'Li2 V1 Fe1 O4'
_space_group_name_H-M_alt 'P 1 2/m 1'
_space_group_IT_number 10
_space_group_name_Hall '-P 2y'
_cell_length_a 5.2115
_cell_length_b 2.9666
_cell_length_c 5.2429
_cell_angle_alpha 90.00
_cell_angle_beta 110.31
_cell_angle_gamma 90.00
loop_
_atom_site_label
_atom_site_type_symbol
_atom_site_fract_x
_atom_site_fract_y
_atom_site_fract_z
Li1 Li 0.0000 0.0000 0.0000
Li2 Li 0.0000 0.5000 0.5000
V1 V 0.5000 0.0000 0.5000
Fe1 Fe 0.5000 0.5000 0.0000
O1 O 0.2688 0.0000 0.7609
O2 O 0.2744 0.5000 0.2588
```

Peak list (10 most intense, 2θ from 10° to 90°, sorted by position)
(1 0 0), 18.2 deg, 4.888 Å, I = 100.0; (1 0 -2), 34.7 deg, 2.586 Å, I = 15.4; (0 1 1), 35.3 deg, 2.540 Å, I = 27.5; (2 0 0), 36.8 deg, 2.441 Å, I = 11.9; (2 0 -2), 42.1 deg, 2.145 Å, I = 29.8; (1 1 1), 43.0 deg, 2.105 Å, I = 55.5; (2 1 -1), 46.7 deg, 1.943 Å, I = 14.0; (2 1 1), 56.8 deg, 1.622 Å, I = 9.4; (1 1 -3), 61.6 deg, 1.506 Å, I = 16.1; (3 1 -1), 61.9 deg, 1.499 Å, I = 15.3


Record 4
Starting from a crystal structure in the Materials Project, relaxed with GGA+U, the X-ray diffraction stick pattern of Li3V2FeO6 was calculated for Cu Kα (λ = 1.5418 Å).
Kinematic intensities with the Lorentz-polarization factor, no thermal factor.

Cell and atoms:
```
data_Li3V2FeO6
_chemical_formula_sum 'Li6 V4 Fe2 O12'
_space_group_name_H-M_alt 'C 1 2/m 1'
_space_group_IT_number 12
_space_group_name_Hall '-C 2y'
_cell_length_a 13.1268
_cell_length_b 2.9735
_cell_length_c 5.9784
_cell_angle_alpha 90.00
_cell_angle_beta 103.66
_cell_angle_gamma 90.00
loop_
_atom_site_label
_atom_site_type_symbol
_atom_site_fract_x
_atom_site_fract_y
_atom_site_fract_z
Li1 Li 0.0000 0.0000 0.0000
Li2 Li 0.1645 0.5000 0.3319
V1 V 0.1665 0.5000 0.8337
Fe1 Fe 0.0000 0.0000 0.5000
O1 O 0.0039 0.5000 0.7380
O2 O 0.1623 0.0000 0.5969
O3 O 0.1699 0.0000 0.0705
```

Peak list (10 most intense, 2θ from 10° to 90°, sorted by position)
(2 0 -1), 18.1 deg, 4.911 Å, I = 100.0; (4 0 1), 35.2 deg, 2.553 Å, I = 14.5; (1 1 1), 35.4 deg, 2.538 Å, I = 26.9; (2 0 2), 36.9 deg, 2.436 Å, I = 10.8; (6 0 0), 42.5 deg, 2.126 Å, I = 29.3; (1 1 -2), 42.9 deg, 2.108 Å, I = 56.7; (5 1 -1), 46.7 deg, 1.944 Å, I = 9.4; (7 1 -2), 61.8 deg, 1.502 Å, I = 15.6; (5 1 2), 62.2 deg, 1.492 Å, I = 15.7; (6 2 0), 78.5 deg, 1.218 Å, I = 10.5